CdAgSb: calculated powder diffractogram (CuKα), based on a crystal structure in the Materials Project, relaxed with PBE.
No peak broadening, texture or thermal motion is included.

Main lines, in order of rising 2θ (2θ from 10° to 90°):
| d [Å] | I/Imax |
| --- | --- |
| 3.865 | 26 |
| 3.347 | 16 |
| 2.367 | 100 |
| 2.019 | 13 |
| 1.933 | 5 |
| 1.674 | 17 |
| 1.536 | 5 |
| 1.497 | 6 |
| 1.367 | 33 |
| 1.288 | 4 |
| 1.183 | 10 |
| 1.132 | 4 |

Structure:
Cell lengths 4.7339, 4.7339, 4.7339 Å; angles 60.00, 60.00, 60.00 degrees
Positions (direct):
Cd1 0.0000 0.0000 0.0000
Ag1 0.2500 0.2500 0.2500
Sb1 0.5000 0.5000 0.5000